[1]
PmSm5In2: theoretical powder X-ray diffraction pattern (Cu Kα X-rays), based on a structure optimized by DFT (PBE).
No peak broadening, texture or thermal motion is included.

Crystal structure
```
data_PmSm5In2
_chemical_formula_sum 'Pm2 Sm10 In4'
_space_group_name_H-M_alt 'P 1'
_space_group_IT_number 1
_space_group_name_Hall 'P 1'
_cell_length_a 6.985
_cell_length_b 13.966
_cell_length_c 4.937
_cell_angle_alpha 90.00
_cell_angle_beta 90.00
_cell_angle_gamma 90.00
loop_
_atom_site_label
_atom_site_fract_x
_atom_site_fract_y
_atom_site_fract_z
Pm1 0.000 0.000 0.000
Pm2 0.500 0.500 0.000
Sm1 0.000 0.250 0.000
Sm2 0.000 0.500 0.000
Sm3 0.000 0.750 0.000
Sm4 0.250 0.125 0.500
Sm5 0.250 0.625 0.500
Sm6 0.500 0.000 0.000
Sm7 0.500 0.250 0.000
Sm8 0.500 0.750 0.000
Sm9 0.750 0.375 0.500
Sm10 0.750 0.875 0.500
In1 0.249 0.375 0.500
In2 0.251 0.875 0.500
In3 0.749 0.125 0.500
In4 0.751 0.625 0.500
```

Principal peaks in the range 10 to 90 degrees two-theta, low angle first:
- 17.96°, intensity 1
- 25.51°, intensity 1
- 31.38°, intensity 100
- 36.39°, intensity 50
- 52.41°, intensity 35
- 62.37°, intensity 42
- 65.48°, intensity 12
- 77.29°, intensity 6
- 85.77°, intensity 17
- 88.56°, intensity 16

=====

[2]
Rb3TbNb2O8: theoretical powder X-ray diffraction pattern (Cu Kα X-rays), based on a structure optimized by DFT (PBE).
No peak broadening, texture or thermal motion is included.

Crystal structure
```
data_Rb3TbNb2O8
_chemical_formula_sum 'Rb3 Tb1 Nb2 O8'
_space_group_name_H-M_alt 'P 1'
_space_group_IT_number 1
_space_group_name_Hall 'P 1'
_cell_length_a 6.296
_cell_length_b 6.296
_cell_length_c 8.067
_cell_angle_alpha 90.00
_cell_angle_beta 90.00
_cell_angle_gamma 120.00
loop_
_atom_site_label
_atom_site_fract_x
_atom_site_fract_y
_atom_site_fract_z
Rb1 0.000 0.000 0.000
Rb2 0.333 0.667 0.691
Rb3 0.667 0.333 0.309
Tb1 0.000 0.000 0.500
Nb1 0.333 0.667 0.249
Nb2 0.667 0.333 0.751
O1 0.170 0.340 0.331
O2 0.170 0.830 0.331
O3 0.333 0.667 0.024
O4 0.340 0.170 0.669
O5 0.660 0.830 0.331
O6 0.667 0.333 0.976
O7 0.830 0.170 0.669
O8 0.830 0.660 0.669
```

Principal peaks in the range 10 to 90 degrees two-theta, low angle first:
- 10.97°, intensity 18
- 19.65°, intensity 10
- 27.51°, intensity 88
- 28.35°, intensity 100
- 39.91°, intensity 43
- 49.68°, intensity 34
- 50.19°, intensity 20
- 54.00°, intensity 20
- 58.65°, intensity 17
- 65.97°, intensity 15

=====

[3]
ScNb2I: theoretical powder X-ray diffraction pattern (Cu Kα X-rays), based on a structure optimized by DFT (PBE).
No peak broadening, texture or thermal motion is included.

Crystal structure
```
data_ScNb2I
_chemical_formula_sum 'Sc4 Nb8 I4'
_space_group_name_H-M_alt 'P 1'
_space_group_IT_number 1
_space_group_name_Hall 'P 1'
_cell_length_a 4.065
_cell_length_b 4.065
_cell_length_c 21.004
_cell_angle_alpha 90.00
_cell_angle_beta 90.00
_cell_angle_gamma 90.00
loop_
_atom_site_label
_atom_site_fract_x
_atom_site_fract_y
_atom_site_fract_z
Sc1 0.000 0.000 0.000
Sc2 0.000 0.500 0.250
Sc3 0.500 0.000 0.750
Sc4 0.500 0.500 0.500
Nb1 0.245 0.250 0.625
Nb2 0.250 0.745 0.875
Nb3 0.250 0.755 0.375
Nb4 0.255 0.250 0.125
Nb5 0.745 0.750 0.125
Nb6 0.750 0.245 0.375
Nb7 0.750 0.255 0.875
Nb8 0.755 0.750 0.625
I1 0.000 0.000 0.500
I2 0.000 0.500 0.750
I3 0.500 0.000 0.250
I4 0.500 0.500 0.000
```

Principal peaks in the range 10 to 90 degrees two-theta, low angle first:
- 22.27°, intensity 14
- 32.29°, intensity 100
- 34.15°, intensity 43
- 40.61°, intensity 52
- 47.99°, intensity 64
- 54.07°, intensity 22
- 71.07°, intensity 19
- 74.33°, intensity 17
- 75.39°, intensity 16
- 79.40°, intensity 15

=====

[4]
La2CeSi3Pt4: theoretical powder X-ray diffraction pattern (Cu Kα X-rays), based on a structure optimized by DFT (PBE).
No peak broadening, texture or thermal motion is included.

Crystal structure
```
data_La2CeSi3Pt4
_chemical_formula_sum 'La2 Ce1 Si3 Pt4'
_space_group_name_H-M_alt 'P 1'
_space_group_IT_number 1
_space_group_name_Hall 'P 1'
_cell_length_a 4.343
_cell_length_b 4.343
_cell_length_c 10.863
_cell_angle_alpha 90.00
_cell_angle_beta 90.00
_cell_angle_gamma 90.00
loop_
_atom_site_label
_atom_site_fract_x
_atom_site_fract_y
_atom_site_fract_z
La1 0.000 0.500 0.230
La2 0.500 0.000 0.770
Ce1 0.000 0.000 0.500
Si1 0.000 0.500 0.886
Si2 0.500 0.000 0.114
Si3 0.500 0.500 0.500
Pt1 0.000 0.000 0.000
Pt2 0.000 0.500 0.664
Pt3 0.500 0.000 0.336
Pt4 0.500 0.500 0.000
```

Principal peaks in the range 10 to 90 degrees two-theta, low angle first:
- 26.27°, intensity 25
- 30.24°, intensity 15
- 32.19°, intensity 13
- 33.52°, intensity 100
- 39.12°, intensity 15
- 41.59°, intensity 46
- 44.54°, intensity 16
- 46.75°, intensity 15
- 60.28°, intensity 16
- 70.76°, intensity 23

=====

[5]
Sr6Nb7O21: theoretical powder X-ray diffraction pattern (Cu Kα X-rays), based on a structure optimized by DFT (PBE).
No peak broadening, texture or thermal motion is included.

Crystal structure
```
data_Sr6Nb7O21
_chemical_formula_sum 'Sr6 Nb7 O21'
_space_group_name_H-M_alt 'P 1'
_space_group_IT_number 1
_space_group_name_Hall 'P 1'
_cell_length_a 9.098
_cell_length_b 9.098
_cell_length_c 9.098
_cell_angle_alpha 113.58
_cell_angle_beta 113.58
_cell_angle_gamma 113.58
loop_
_atom_site_label
_atom_site_fract_x
_atom_site_fract_y
_atom_site_fract_z
Sr1 0.063 0.782 0.640
Sr2 0.218 0.360 0.937
Sr3 0.360 0.937 0.218
Sr4 0.640 0.063 0.782
Sr5 0.782 0.640 0.063
Sr6 0.937 0.218 0.360
Nb1 0.000 0.000 0.000
Nb2 0.144 0.570 0.286
Nb3 0.286 0.144 0.570
Nb4 0.430 0.714 0.856
Nb5 0.570 0.286 0.144
Nb6 0.714 0.856 0.430
Nb7 0.856 0.430 0.714
O1 0.000 0.000 0.500
O2 0.000 0.500 0.000
O3 0.062 0.281 0.133
O4 0.133 0.062 0.281
O5 0.146 0.575 0.791
O6 0.209 0.854 0.425
O7 0.276 0.644 0.572
O8 0.281 0.133 0.062
O9 0.356 0.428 0.724
O10 0.425 0.209 0.854
O11 0.428 0.724 0.356
O12 0.500 0.000 0.000
O13 0.572 0.276 0.644
O14 0.575 0.791 0.146
O15 0.644 0.572 0.276
O16 0.719 0.867 0.938
O17 0.724 0.356 0.428
O18 0.791 0.146 0.575
O19 0.854 0.425 0.209
O20 0.867 0.938 0.719
O21 0.938 0.719 0.867
```

Principal peaks in the range 10 to 90 degrees two-theta, low angle first:
- 11.63°, intensity 3
- 14.25°, intensity 2
- 21.84°, intensity 9
- 31.09°, intensity 100
- 44.54°, intensity 36
- 50.13°, intensity 3
- 55.31°, intensity 39
- 64.81°, intensity 21
- 73.62°, intensity 17
- 82.05°, intensity 7

=====

[6]
K2Li2UO6: theoretical powder X-ray diffraction pattern (Cu Kα X-rays), based on a structure optimized by DFT (PBE).
No peak broadening, texture or thermal motion is included.

Crystal structure
```
data_K2Li2UO6
_chemical_formula_sum 'K2 Li2 U1 O6'
_space_group_name_H-M_alt 'P 1'
_space_group_IT_number 1
_space_group_name_Hall 'P 1'
_cell_length_a 5.483
_cell_length_b 5.483
_cell_length_c 6.131
_cell_angle_alpha 90.00
_cell_angle_beta 90.00
_cell_angle_gamma 120.00
loop_
_atom_site_label
_atom_site_fract_x
_atom_site_fract_y
_atom_site_fract_z
K1 0.333 0.667 0.000
K2 0.667 0.333 0.000
Li1 0.333 0.667 0.500
Li2 0.667 0.333 0.500
U1 0.000 0.000 0.500
O1 0.000 0.312 0.679
O2 0.000 0.688 0.321
O3 0.312 0.000 0.679
O4 0.312 0.312 0.321
O5 0.688 0.000 0.321
O6 0.688 0.688 0.679
```

Principal peaks in the range 10 to 90 degrees two-theta, low angle first:
- 14.45°, intensity 29
- 18.69°, intensity 42
- 23.70°, intensity 100
- 32.66°, intensity 23
- 34.84°, intensity 17
- 40.75°, intensity 23
- 44.33°, intensity 34
- 48.50°, intensity 22
- 53.17°, intensity 22
- 59.70°, intensity 17

=====

[7]
SrLa3Ru: theoretical powder X-ray diffraction pattern (Cu Kα X-rays), based on a structure optimized by DFT (PBE).
No peak broadening, texture or thermal motion is included.

Crystal structure
```
data_SrLa3Ru
_chemical_formula_sum 'Sr2 La6 Ru2'
_space_group_name_H-M_alt 'P 1'
_space_group_IT_number 1
_space_group_name_Hall 'P 1'
_cell_length_a 8.132
_cell_length_b 5.743
_cell_length_c 9.054
_cell_angle_alpha 90.00
_cell_angle_beta 116.65
_cell_angle_gamma 90.00
loop_
_atom_site_label
_atom_site_fract_x
_atom_site_fract_y
_atom_site_fract_z
Sr1 0.126 0.000 0.252
Sr2 0.874 0.000 0.748
La1 0.000 0.500 0.500
La2 0.265 0.500 0.000
La3 0.376 0.000 0.751
La4 0.500 0.500 0.500
La5 0.624 0.000 0.249
La6 0.735 0.500 0.000
Ru1 0.364 0.500 0.729
Ru2 0.636 0.500 0.271
```

Principal peaks in the range 10 to 90 degrees two-theta, low angle first:
- 12.18°, intensity 23
- 15.43°, intensity 12
- 26.91°, intensity 85
- 31.17°, intensity 100
- 44.64°, intensity 61
- 52.88°, intensity 26
- 53.02°, intensity 14
- 55.37°, intensity 13
- 55.57°, intensity 12
- 73.84°, intensity 21

=====

[8]
TcIrRh: theoretical powder X-ray diffraction pattern (Cu Kα X-rays), based on a structure optimized by DFT (PBE).
No peak broadening, texture or thermal motion is included.

Crystal structure
```
data_TcIrRh
_chemical_formula_sum 'Tc2 Ir2 Rh2'
_space_group_name_H-M_alt 'P 1'
_space_group_IT_number 1
_space_group_name_Hall 'P 1'
_cell_length_a 2.720
_cell_length_b 3.861
_cell_length_c 8.205
_cell_angle_alpha 90.00
_cell_angle_beta 90.00
_cell_angle_gamma 90.00
loop_
_atom_site_label
_atom_site_fract_x
_atom_site_fract_y
_atom_site_fract_z
Tc1 0.000 0.000 0.000
Tc2 0.500 0.500 0.500
Ir1 0.000 0.000 0.660
Ir2 0.500 0.500 0.160
Rh1 0.000 0.000 0.332
Rh2 0.500 0.500 0.832
```

Principal peaks in the range 10 to 90 degrees two-theta, low angle first:
- 21.66°, intensity 12
- 25.50°, intensity 15
- 40.42°, intensity 100
- 40.58°, intensity 99
- 47.11°, intensity 97
- 68.81°, intensity 41
- 82.89°, intensity 37
- 83.01°, intensity 12
- 83.19°, intensity 25
- 87.81°, intensity 11

=====

[9]
MoWSeS3: theoretical powder X-ray diffraction pattern (Cu Kα X-rays), based on a structure optimized by DFT (PBE).
No peak broadening, texture or thermal motion is included.

Crystal structure
```
data_MoWSeS3
_chemical_formula_sum 'Mo2 W2 Se2 S6'
_space_group_name_H-M_alt 'P 1'
_space_group_IT_number 1
_space_group_name_Hall 'P 1'
_cell_length_a 3.220
_cell_length_b 3.220
_cell_length_c 28.651
_cell_angle_alpha 90.00
_cell_angle_beta 90.00
_cell_angle_gamma 120.00
loop_
_atom_site_label
_atom_site_fract_x
_atom_site_fract_y
_atom_site_fract_z
Mo1 0.000 0.000 0.000
Mo2 0.000 0.000 0.495
W1 0.333 0.667 0.246
W2 0.333 0.667 0.748
Se1 0.333 0.667 0.436
Se2 0.333 0.667 0.555
S1 0.000 0.000 0.191
S2 0.000 0.000 0.300
S3 0.000 0.000 0.693
S4 0.000 0.000 0.802
S5 0.333 0.667 0.054
S6 0.333 0.667 0.946
```

Principal peaks in the range 10 to 90 degrees two-theta, low angle first:
- 12.36°, intensity 100
- 32.09°, intensity 22
- 32.71°, intensity 10
- 34.51°, intensity 15
- 37.34°, intensity 48
- 45.38°, intensity 36
- 57.21°, intensity 13
- 58.78°, intensity 11
- 75.88°, intensity 8
- 80.16°, intensity 8

=====

[10]
Pa2Co4H: theoretical powder X-ray diffraction pattern (Cu Kα X-rays), based on a structure optimized by DFT (PBE).
No peak broadening, texture or thermal motion is included.

Crystal structure
```
data_Pa2Co4H
_chemical_formula_sum 'Pa4 Co8 H2'
_space_group_name_H-M_alt 'P 1'
_space_group_IT_number 1
_space_group_name_Hall 'P 1'
_cell_length_a 3.805
_cell_length_b 3.805
_cell_length_c 12.970
_cell_angle_alpha 90.00
_cell_angle_beta 90.00
_cell_angle_gamma 90.00
loop_
_atom_site_label
_atom_site_fract_x
_atom_site_fract_y
_atom_site_fract_z
Pa1 0.000 0.000 0.155
Pa2 0.000 0.000 0.845
Pa3 0.500 0.500 0.345
Pa4 0.500 0.500 0.655
Co1 0.000 0.000 0.362
Co2 0.000 0.000 0.638
Co3 0.000 0.500 0.000
Co4 0.000 0.500 0.500
Co5 0.500 0.000 0.000
Co6 0.500 0.000 0.500
Co7 0.500 0.500 0.138
Co8 0.500 0.500 0.862
H1 0.000 0.000 0.500
H2 0.500 0.500 0.000
```

Principal peaks in the range 10 to 90 degrees two-theta, low angle first:
- 24.38°, intensity 41
- 31.32°, intensity 86
- 33.30°, intensity 67
- 36.15°, intensity 51
- 41.79°, intensity 31
- 43.72°, intensity 100
- 47.81°, intensity 58
- 54.43°, intensity 31
- 58.27°, intensity 32
- 65.34°, intensity 33

=====

[11]
Ac3TbP2N6: theoretical powder X-ray diffraction pattern (Cu Kα X-rays), based on a structure optimized by DFT (PBE).
No peak broadening, texture or thermal motion is included.

Crystal structure
```
data_Ac3TbP2N6
_chemical_formula_sum 'Ac3 Tb1 P2 N6'
_space_group_name_H-M_alt 'P 1'
_space_group_IT_number 1
_space_group_name_Hall 'P 1'
_cell_length_a 5.854
_cell_length_b 5.854
_cell_length_c 6.783
_cell_angle_alpha 90.00
_cell_angle_beta 90.00
_cell_angle_gamma 120.00
loop_
_atom_site_label
_atom_site_fract_x
_atom_site_fract_y
_atom_site_fract_z
Ac1 0.000 0.000 0.000
Ac2 0.333 0.667 0.656
Ac3 0.667 0.333 0.344
Tb1 0.000 0.000 0.500
P1 0.333 0.667 0.187
P2 0.667 0.333 0.813
N1 0.182 0.363 0.291
N2 0.182 0.818 0.291
N3 0.363 0.182 0.709
N4 0.637 0.818 0.291
N5 0.818 0.182 0.709
N6 0.818 0.637 0.709
```

Principal peaks in the range 10 to 90 degrees two-theta, low angle first:
- 21.89°, intensity 51
- 30.54°, intensity 100
- 31.74°, intensity 92
- 37.89°, intensity 22
- 44.63°, intensity 43
- 54.29°, intensity 22
- 55.05°, intensity 39
- 57.29°, intensity 18
- 72.82°, intensity 18
- 74.76°, intensity 17

=====

[12]
Ba2CaCuSb2F14: theoretical powder X-ray diffraction pattern (Cu Kα X-rays), based on a structure optimized by DFT (PBE).
No peak broadening, texture or thermal motion is included.

Crystal structure
```
data_Ba2CaCuSb2F14
_chemical_formula_sum 'Ba4 Ca2 Cu2 Sb4 F28'
_space_group_name_H-M_alt 'P 1'
_space_group_IT_number 1
_space_group_name_Hall 'P 1'
_cell_length_a 7.692
_cell_length_b 7.692
_cell_length_c 16.603
_cell_angle_alpha 90.68
_cell_angle_beta 90.68
_cell_angle_gamma 41.59
loop_
_atom_site_label
_atom_site_fract_x
_atom_site_fract_y
_atom_site_fract_z
Ba1 0.096 0.255 0.117
Ba2 0.255 0.096 0.617
Ba3 0.745 0.904 0.383
Ba4 0.904 0.745 0.883
Ca1 0.456 0.544 0.250
Ca2 0.544 0.456 0.750
Cu1 0.500 0.500 0.000
Cu2 0.500 0.500 0.500
Sb1 0.081 0.150 0.374
Sb2 0.150 0.081 0.874
Sb3 0.850 0.919 0.126
Sb4 0.919 0.850 0.626
F1 0.082 0.605 0.203
F2 0.097 0.595 0.042
F3 0.113 0.852 0.333
F4 0.139 0.627 0.740
F5 0.146 0.687 0.488
F6 0.148 0.887 0.167
F7 0.155 0.365 0.377
F8 0.313 0.854 0.012
F9 0.362 0.585 0.890
F10 0.365 0.155 0.877
F11 0.373 0.861 0.760
F12 0.395 0.918 0.297
F13 0.405 0.903 0.458
F14 0.415 0.638 0.610
F15 0.585 0.362 0.390
F16 0.595 0.097 0.542
F17 0.605 0.082 0.703
F18 0.627 0.139 0.240
F19 0.635 0.845 0.123
F20 0.638 0.415 0.110
F21 0.687 0.146 0.988
F22 0.845 0.635 0.623
F23 0.852 0.113 0.833
F24 0.854 0.313 0.512
F25 0.861 0.373 0.260
F26 0.887 0.148 0.667
F27 0.903 0.405 0.958
F28 0.918 0.395 0.797
```

Principal peaks in the range 10 to 90 degrees two-theta, low angle first:
- 17.37°, intensity 25
- 21.41°, intensity 36
- 24.70°, intensity 100
- 26.89°, intensity 29
- 27.64°, intensity 30
- 27.76°, intensity 47
- 32.77°, intensity 24
- 33.12°, intensity 20
- 43.61°, intensity 18
- 51.00°, intensity 17